Theoretical PXRD pattern of LiMnP4O12 for Cu Kα (weighted mean of Kα1 and Kα2), from the PBE+U geometry in the Materials Project.
Peak positions follow from Bragg's law for the DFT cell and can differ from measured ones.

Structure:
a b c (Å): 16.772 12.107 5.231
angles (deg): 90.00 100.64 90.00
Space group C2/m (No. 12)
Unique sites:
Li 0.074 0.000 0.085 (multiplicity 4)
Mn 0.250 0.250 0.500 (multiplicity 4)
P 0.077 0.209 0.681 (multiplicity 8)
P 0.183 0.378 0.984 (multiplicity 8)
O 0.000 0.268 0.500 (multiplicity 4)
O 0.050 0.112 0.818 (multiplicity 8)
O 0.103 0.308 0.884 (multiplicity 8)
O 0.141 0.191 0.516 (multiplicity 8)
O 0.147 0.500 0.917 (multiplicity 4)
O 0.202 0.371 0.278 (multiplicity 8)
O 0.249 0.354 0.836 (multiplicity 8)

The 6 most intense peaks (2θ from 10° to 90°), in order of rising 2θ:
| 2θ/deg | intensity | hkl |
| --- | --- | --- |
| 10.73 | 47.5 | 2 0 0 |
| 14.63 | 100.0 | 0 2 0 |
| 17.73 | 40.0 | 3 1 0 |
| 18.58 | 24.3 | 2 0 -1 |
| 22.68 | 49.1 | 0 2 1 |
| 25.08 | 29.0 | 4 0 -1 |